[1]
The following is a calculated powder diffraction line list of PrHCl3. It was derived from a crystal structure in Alexandria, relaxed with GGA-PBE, using Cu Kα X-rays.

Cell lengths 7.709, 4.077, 7.872 Å; angles 90.00, 94.82, 90.00 degrees
Space group P2_1/m (No. 11)
Unique sites:
Pr: 0.128 0.250 0.257 [2 per cell]
H: 0.440 0.250 0.382 [2 per cell]
Cl: 0.111 0.250 0.873 [2 per cell]
Cl: 0.174 0.750 0.525 [2 per cell]
Cl: 0.357 0.750 0.164 [2 per cell]

Peak list (10 most intense, 5° ≤ 2θ ≤ 70°, by angle)
2θ/deg, I/Imax
11.5, 100
15.5, 32
16.8, 42
22.7, 23
24.6, 25
27.7, 30
32.0, 41
34.5, 20
38.4, 28
40.8, 21

***

[2]
The following is a calculated powder diffraction line list of NdZr2ZnN4. It was derived from a crystal structure in Alexandria, relaxed with GGA-PBE, using Cu Kα X-rays.

Cell lengths 3.334, 11.152, 11.317 Å; angles 90.00, 90.00, 90.00 degrees
Space group Cmcm (No. 63)
Unique sites:
Nd: 0.000 0.109 0.250 [4 per cell]
Zr: 0.000 0.371 0.046 [8 per cell]
Zn: 0.000 0.158 0.750 [4 per cell]
N: 0.000 0.000 0.000 [4 per cell]
N: 0.000 0.271 0.613 [8 per cell]
N: 0.000 0.443 0.250 [4 per cell]

Peak list (10 most intense, 5° ≤ 2θ ≤ 70°, by angle)
2θ/deg, I/Imax
28.6, 34
31.6, 28
32.2, 100
37.1, 27
39.7, 53
45.7, 16
49.3, 12
51.9, 16
54.9, 15
55.1, 22

***

[3]
The following is a calculated powder diffraction line list of TbEuTe2. It was derived from a crystal structure in Alexandria, relaxed with GGA-PBE, using Cu Kα X-rays.

Cell lengths 4.4547, 4.4547, 22.2333 Å; angles 90.00, 90.00, 120.00 degrees
Space group R-3m (No. 166, hexagonal axes)
Unique sites:
Tb: 0.0000 0.0000 0.0000 [3 per cell]
Eu: 0.0000 0.0000 0.5000 [3 per cell]
Te: 0.0000 0.0000 0.2540 [6 per cell]

Peak list (10 most intense, 5° ≤ 2θ ≤ 70°, by angle)
2θ/deg, I/Imax
24.4, 2
28.2, 100
40.0, 39
40.5, 38
47.6, 1
49.2, 7
50.1, 20
58.2, 13
65.5, 17
66.3, 17

***

[4]
The following is a calculated powder diffraction line list of Cs8SbAu2. It was derived from a crystal structure in Alexandria, relaxed with GGA-PBE, using Cu Kα X-rays.

Cell lengths 11.6529, 11.6529, 7.6864 Å; angles 90.00, 90.00, 120.00 degrees
Space group P-3 (No. 147)
Unique sites:
Cs: 0.1580 0.3174 0.2536 [6 per cell]
Cs: 0.3333 0.6667 0.7657 [2 per cell]
Sb: 0.0000 0.0000 0.5000 [1 per cell]
Au: 0.3333 0.6667 0.2724 [2 per cell]

Peak list (10 most intense, 5° ≤ 2θ ≤ 70°, by angle)
2θ/deg, I/Imax
14.5, 54
15.2, 61
17.6, 58
21.1, 71
23.1, 48
26.1, 42
29.2, 67
30.7, 100
38.8, 72
57.4, 30